Theoretical powder XRD pattern
Compound: TlZnTeO4
Radiation: a wavelength of 1.5418 Å
Structure: a structure optimized by DFT (GGA-PBE)
Neutral-atom scattering factors, no anomalous dispersion.

Crystal structure
```
data_TlZnTeO4
_space_group_name_H-M_alt 'F -4 3 m'
_space_group_IT_number 216
_space_group_name_Hall 'F -4 2 3'
_cell_length_a 8.876
_cell_length_b 8.876
_cell_length_c 8.876
_cell_angle_alpha 90.00
_cell_angle_beta 90.00
_cell_angle_gamma 90.00
loop_
_atom_site_label
_atom_site_type_symbol
_atom_site_fract_x
_atom_site_fract_y
_atom_site_fract_z
_atom_site_occupancy
Tl1 Tl 0.000 0.000 0.000 1
Zn1 Zn 0.250 0.250 0.750 1
Te1 Te 0.000 0.000 0.500 1
O1 O 0.124 0.124 0.624 1
```

Top 10 peaks for 2θ = 15–90°, by angle:
2θ = 17.3°, intensity 16.5, (1 1 1)
2θ = 20.0°, intensity 47.9, (2 0 0)
2θ = 28.4°, intensity 100.0, (2 2 0)
2θ = 35.0°, intensity 16.7, (2 2 2)
2θ = 40.7°, intensity 13.5, (4 0 0)
2θ = 45.7°, intensity 22.4, (4 2 0)
2θ = 50.4°, intensity 41.3, (4 2 2)
2θ = 58.9°, intensity 16.6, (4 4 0)
2θ = 66.6°, intensity 17.7, (6 2 0)
2θ = 81.1°, intensity 20.5, (6 4 2)